The following is a simulated powder diffraction line list of Al5BiN4. It was derived from a structure optimized by DFT (PBE), using λ = 1.5418 Å (Cu Kα).
Intensities are scaled so that the largest is 100.

Structure:
Lattice parameters (Å, degrees): 16.523 16.523 16.523 10.90 10.90 10.90
Fractional positions:
Al1 0.000 0.000 0.000
Al2 0.154 0.154 0.154
Al3 0.385 0.385 0.385
Al4 0.615 0.615 0.615
Al5 0.770 0.770 0.770
Bi1 0.557 0.557 0.557
N1 0.115 0.115 0.115
N2 0.346 0.346 0.346
N3 0.731 0.731 0.731
N4 0.961 0.961 0.961

The 12 most intense peaks (2θ from 10° to 90°), low angle first:
Position (°2θ)	intensity
10.77	100
16.19	56
21.64	34
32.72	31
32.99	32
33.14	40
33.76	32
34.21	82
35.39	31
37.79	27
40.84	27
58.82	25

The following is a simulated powder diffraction line list of LaCu6. It was derived from a structure optimized by DFT (PBE), using λ = 1.5418 Å (Cu Kα).
Intensities are scaled so that the largest is 100.

Structure:
Lattice parameters (Å, degrees): 5.107 10.217 8.164 90.00 92.05 90.00
Fractional positions:
La1 0.238 0.063 0.238
La2 0.238 0.437 0.738
La3 0.762 0.563 0.262
La4 0.762 0.937 0.762
Cu1 0.002 0.193 0.566
Cu2 0.002 0.307 0.066
Cu3 0.249 0.516 0.098
Cu4 0.249 0.984 0.598
Cu5 0.250 0.745 0.683
Cu6 0.250 0.755 0.183
Cu7 0.260 0.141 0.850
Cu8 0.260 0.359 0.350
Cu9 0.280 0.599 0.438
Cu10 0.280 0.901 0.938
Cu11 0.493 0.188 0.560
Cu12 0.493 0.312 0.060
Cu13 0.507 0.688 0.940
Cu14 0.507 0.812 0.440
Cu15 0.720 0.099 0.062
Cu16 0.720 0.401 0.562
Cu17 0.740 0.641 0.650
Cu18 0.740 0.859 0.150
Cu19 0.750 0.245 0.817
Cu20 0.750 0.255 0.317
Cu21 0.751 0.016 0.402
Cu22 0.751 0.484 0.902
Cu23 0.998 0.693 0.934
Cu24 0.998 0.807 0.434

The 12 most intense peaks (2θ from 10° to 90°), low angle first:
Position (°2θ)	intensity
31.58	28
35.16	39
36.87	59
37.96	56
38.33	52
39.08	100
39.47	32
41.04	29
42.05	28
45.34	32
45.80	53
46.13	27

The following is a simulated powder diffraction line list of Re2Rh2O5. It was derived from a structure optimized by DFT (PBE), using λ = 1.5418 Å (Cu Kα).
Intensities are scaled so that the largest is 100.

Structure:
Lattice parameters (Å, degrees): 3.667 3.667 7.675 90.00 90.00 90.00
Fractional positions:
Re1 0.000 0.000 0.165
Re2 0.000 0.000 0.835
Rh1 0.500 0.500 0.000
Rh2 0.500 0.500 0.500
O1 0.000 0.000 0.500
O2 0.000 0.500 0.251
O3 0.000 0.500 0.749
O4 0.500 0.000 0.251
O5 0.500 0.000 0.749

The 12 most intense peaks (2θ from 10° to 90°), low angle first:
Position (°2θ)	intensity
11.53	62
24.27	24
26.95	37
33.81	100
34.59	95
43.11	54
49.72	52
50.09	35
53.93	29
61.49	36
67.88	28
84.45	25